Starting from a crystal structure in Alexandria, relaxed with GGA-PBE, the X-ray diffraction stick pattern of Tb4SmCo4 was computed for Cu Kα (weighted mean of Kα1 and Kα2).

Cell and atoms:
```
18
Lattice="8.465 0.000 0.000 0.000 8.465 0.000 0.000 0.000 5.601" Properties=species:S:1:pos:R:3 pbc="T T T"
Tb 0.526 5.703 0.745
Tb 1.471 7.939 3.546
Tb 2.761 4.759 3.546
Tb 3.706 6.994 0.745
Tb 4.759 1.471 4.856
Tb 5.703 3.706 2.055
Tb 6.994 0.526 2.055
Tb 7.939 2.761 4.856
Sm 2.116 2.116 1.400
Sm 6.349 6.349 4.201
Co 0.128 5.170 3.444
Co 0.938 8.337 0.644
Co 3.294 4.360 0.644
Co 4.105 7.527 3.444
Co 4.360 0.938 2.157
Co 5.170 4.105 4.958
Co 7.527 0.128 4.958
Co 8.337 3.294 2.157
```

Most intense lines, 10° ≤ 2θ ≤ 90°, in order of rising 2θ:
- 3.136 Å, 28.5°, intensity 81, hkl 2 1 1
- 2.677 Å, 33.5°, intensity 100, hkl 1 3 0
- 2.659 Å, 33.7°, intensity 55, hkl 1 0 2
- 2.251 Å, 40.0°, intensity 29, hkl 1 2 2
- 1.893 Å, 48.1°, intensity 30, hkl 4 2 0
- 1.799 Å, 50.7°, intensity 29, hkl 2 3 2